# 1
Computed PXRD pattern of K3AlCl6 for Cu Kα, 1.54184 Å, from a PBE-relaxed structure.
Peak positions follow from Bragg's law for the DFT cell and can differ from measured ones.

Peak list (10 most intense, 10° ≤ 2θ ≤ 80°, low angle first)
14.72 deg, d 6.018, I = 49
18.51 deg, d 4.793, I = 38
21.58 deg, d 4.118, I = 100
21.90 deg, d 4.058, I = 52
25.71 deg, d 3.465, I = 21
29.79 deg, d 2.999, I = 72
32.23 deg, d 2.778, I = 74
32.88 deg, d 2.724, I = 36
35.94 deg, d 2.499, I = 38
41.61 deg, d 2.171, I = 18

Crystal structure
a = 10.003 Å, b = 10.003 Å, c = 7.633 Å
α = 90.00°, β = 90.00°, γ = 102.04°
Fractional coordinates of all 20 atoms:
K 0.067 0.933 0.500
K 0.189 0.390 0.415
K 0.390 0.189 0.915
K 0.610 0.811 0.415
K 0.811 0.610 0.915
K 0.933 0.067 0.000
Al 0.309 0.691 0.804
Al 0.691 0.309 0.304
Cl 0.104 0.621 0.703
Cl 0.136 0.201 0.718
Cl 0.201 0.136 0.218
Cl 0.316 0.684 0.085
Cl 0.379 0.896 0.703
Cl 0.436 0.564 0.685
Cl 0.564 0.436 0.185
Cl 0.621 0.104 0.203
Cl 0.684 0.316 0.585
Cl 0.799 0.864 0.718
Cl 0.864 0.799 0.218
Cl 0.896 0.379 0.203

# 2
Computed PXRD pattern of Cs11AgAu2 for Cu Kα, 1.54184 Å, from a PBE-relaxed structure.
Peak positions follow from Bragg's law for the DFT cell and can differ from measured ones.

Peak list (10 most intense, 10° ≤ 2θ ≤ 80°, low angle first)
12.24 deg, d 7.233, I = 100
12.59 deg, d 7.031, I = 52
14.36 deg, d 6.170, I = 32
24.01 deg, d 3.706, I = 53
24.62 deg, d 3.616, I = 79
25.04 deg, d 3.556, I = 70
25.94 deg, d 3.435, I = 56
27.20 deg, d 3.279, I = 76
27.37 deg, d 3.259, I = 70
37.59 deg, d 2.393, I = 31

Crystal structure
a = 14.881 Å, b = 14.881 Å, c = 14.881 Å
α = 123.95°, β = 105.61°, γ = 99.93°
Fractional coordinates of all 28 atoms:
Cs 0.000 0.000 0.000
Cs 0.050 0.454 0.816
Cs 0.075 0.836 0.656
Cs 0.138 0.954 0.405
Cs 0.180 0.419 0.344
Cs 0.221 0.872 0.093
Cs 0.279 0.372 0.651
Cs 0.320 0.664 0.239
Cs 0.362 0.767 0.816
Cs 0.425 0.081 0.761
Cs 0.450 0.267 0.405
Cs 0.500 0.500 0.000
Cs 0.550 0.733 0.595
Cs 0.575 0.919 0.239
Cs 0.638 0.233 0.184
Cs 0.680 0.336 0.761
Cs 0.721 0.628 0.349
Cs 0.779 0.128 0.907
Cs 0.820 0.581 0.656
Cs 0.862 0.046 0.595
Cs 0.925 0.164 0.344
Cs 0.950 0.546 0.184
Ag 0.250 0.750 0.500
Ag 0.750 0.250 0.500
Au 0.173 0.146 0.319
Au 0.327 0.646 0.973
Au 0.673 0.354 0.027
Au 0.827 0.854 0.681

# 3
Computed PXRD pattern of Rb2Au3 for Cu Kα, 1.54184 Å, from a PBE-relaxed structure.
Peak positions follow from Bragg's law for the DFT cell and can differ from measured ones.

Peak list (10 most intense, 10° ≤ 2θ ≤ 80°, low angle first)
16.54 deg, d 5.359, I = 90
29.00 deg, d 3.079, I = 53
29.67 deg, d 3.011, I = 26
30.58 deg, d 2.923, I = 25
33.44 deg, d 2.680, I = 32
35.32 deg, d 2.542, I = 41
37.67 deg, d 2.388, I = 100
39.23 deg, d 2.296, I = 22
44.86 deg, d 2.020, I = 29
57.10 deg, d 1.613, I = 42

Crystal structure
a = 6.557 Å, b = 6.557 Å, c = 6.557 Å
α = 134.39°, β = 129.53°, γ = 70.37°
Fractional coordinates of all 5 atoms:
Rb 0.195 0.195 0.000
Rb 0.805 0.805 0.000
Au 0.248 0.500 0.748
Au 0.500 0.000 0.500
Au 0.752 0.500 0.252

# 4
Computed PXRD pattern of Tb2CuF8 for Cu Kα, 1.54184 Å, from a PBE-relaxed structure.
Peak positions follow from Bragg's law for the DFT cell and can differ from measured ones.

Peak list (10 most intense, 10° ≤ 2θ ≤ 80°, low angle first)
23.57 deg, d 3.774, I = 100
24.87 deg, d 3.580, I = 93
27.90 deg, d 3.198, I = 98
32.06 deg, d 2.791, I = 60
34.53 deg, d 2.597, I = 32
41.12 deg, d 2.195, I = 40
45.71 deg, d 1.985, I = 40
48.55 deg, d 1.875, I = 33
49.89 deg, d 1.828, I = 29
51.05 deg, d 1.789, I = 27

Crystal structure
a = 5.957 Å, b = 5.957 Å, c = 4.619 Å
α = 103.70°, β = 103.70°, γ = 73.88°
Fractional coordinates of all 11 atoms:
Tb 0.177 0.177 0.384
Tb 0.823 0.823 0.616
Cu 0.500 0.500 0.000
F 0.078 0.078 0.794
F 0.154 0.541 0.728
F 0.373 0.373 0.238
F 0.459 0.846 0.272
F 0.541 0.154 0.728
F 0.627 0.627 0.762
F 0.846 0.459 0.272
F 0.922 0.922 0.206

# 5
Computed PXRD pattern of MnNi5B for Cu Kα, 1.54184 Å, from a PBE-relaxed structure.
Peak positions follow from Bragg's law for the DFT cell and can differ from measured ones.

Peak list (10 most intense, 10° ≤ 2θ ≤ 80°, low angle first)
29.17 deg, d 3.062, I = 5
36.65 deg, d 2.452, I = 17
39.59 deg, d 2.276, I = 63
44.38 deg, d 2.041, I = 31
47.51 deg, d 1.914, I = 100
52.80 deg, d 1.734, I = 49
58.87 deg, d 1.569, I = 5
60.48 deg, d 1.531, I = 4
71.38 deg, d 1.321, I = 27
77.92 deg, d 1.226, I = 14

Crystal structure
a = 3.468 Å, b = 3.468 Å, c = 6.123 Å
α = 90.00°, β = 90.00°, γ = 90.00°
Fractional coordinates of all 7 atoms:
Mn 0.000 0.000 0.000
Ni 0.000 0.500 0.303
Ni 0.000 0.500 0.697
Ni 0.500 0.000 0.303
Ni 0.500 0.000 0.697
Ni 0.500 0.500 0.000
B 0.500 0.500 0.500

# 6
Computed PXRD pattern of Zn13Fe for Cu Kα, 1.54184 Å, from a PBE-relaxed structure.
Peak positions follow from Bragg's law for the DFT cell and can differ from measured ones.

Peak list (10 most intense, 10° ≤ 2θ ≤ 80°, low angle first)
35.79 deg, d 2.509, I = 35
41.40 deg, d 2.181, I = 100
41.48 deg, d 2.177, I = 37
42.33 deg, d 2.135, I = 59
42.66 deg, d 2.120, I = 83
43.26 deg, d 2.091, I = 35
43.69 deg, d 2.072, I = 84
44.19 deg, d 2.049, I = 43
74.04 deg, d 1.280, I = 22
75.30 deg, d 1.262, I = 21

Crystal structure
a = 6.630 Å, b = 6.630 Å, c = 5.009 Å
α = 98.67°, β = 98.67°, γ = 70.62°
Fractional coordinates of all 14 atoms:
Zn 0.000 0.000 0.000
Zn 0.004 0.645 0.199
Zn 0.213 0.635 0.686
Zn 0.221 0.221 0.373
Zn 0.355 0.996 0.801
Zn 0.365 0.787 0.314
Zn 0.386 0.386 0.064
Zn 0.614 0.614 0.936
Zn 0.635 0.213 0.686
Zn 0.645 0.004 0.199
Zn 0.779 0.779 0.627
Zn 0.787 0.365 0.314
Zn 0.996 0.355 0.801
Fe 0.000 0.000 0.500

# 7
Computed PXRD pattern of Tb9Nd2Ho for Cu Kα, 1.54184 Å, from a PBE-relaxed structure.
Peak positions follow from Bragg's law for the DFT cell and can differ from measured ones.

Peak list (6 most intense, 10° ≤ 2θ ≤ 80°, low angle first)
30.61 deg, d 2.921, I = 100
35.49 deg, d 2.529, I = 51
51.07 deg, d 1.788, I = 36
60.72 deg, d 1.525, I = 43
63.73 deg, d 1.460, I = 12
75.12 deg, d 1.265, I = 6

Crystal structure
a = 5.058 Å, b = 5.058 Å, c = 15.180 Å
α = 90.00°, β = 90.00°, γ = 90.00°
Fractional coordinates of all 12 atoms:
Tb 0.000 0.000 0.000
Tb 0.000 0.000 0.332
Tb 0.000 0.000 0.668
Tb 0.000 0.500 0.164
Tb 0.000 0.500 0.500
Tb 0.000 0.500 0.836
Tb 0.500 0.000 0.164
Tb 0.500 0.000 0.500
Tb 0.500 0.000 0.836
Nd 0.500 0.500 0.332
Nd 0.500 0.500 0.668
Ho 0.500 0.500 0.000

# 8
Computed PXRD pattern of AlSi3Ni3 for Cu Kα, 1.54184 Å, from a PBE-relaxed structure.
Peak positions follow from Bragg's law for the DFT cell and can differ from measured ones.

Peak list (10 most intense, 10° ≤ 2θ ≤ 80°, low angle first)
15.04 deg, d 5.892, I = 15
26.20 deg, d 3.402, I = 12
30.34 deg, d 2.946, I = 12
33.41 deg, d 2.682, I = 13
40.51 deg, d 2.227, I = 26
41.43 deg, d 2.179, I = 35
45.75 deg, d 1.983, I = 100
59.33 deg, d 1.558, I = 16
73.68 deg, d 1.286, I = 10
78.62 deg, d 1.217, I = 19

Crystal structure
a = 6.804 Å, b = 6.804 Å, c = 4.359 Å
α = 90.00°, β = 90.00°, γ = 120.00°
Fractional coordinates of all 14 atoms:
Al 0.333 0.667 0.250
Al 0.667 0.333 0.750
Si 0.096 0.438 0.750
Si 0.342 0.904 0.750
Si 0.438 0.342 0.250
Si 0.562 0.658 0.750
Si 0.658 0.096 0.250
Si 0.904 0.562 0.250
Ni 0.056 0.271 0.250
Ni 0.216 0.944 0.250
Ni 0.271 0.216 0.750
Ni 0.729 0.784 0.250
Ni 0.784 0.056 0.750
Ni 0.944 0.729 0.750